# KFeSn3O8
Simulated X-ray diffraction stick pattern, Cu Kα, 1.54184 Å. Input: a structure optimized by DFT (PBE+U).

Principal peaks in the range 2θ = 15–90°, sorted by position:
2θ 16.68, 5.316 Å, I = 268; 2θ 26.45, 3.370 Å, I = 291; 2θ 26.65, 3.345 Å, I = 309; 2θ 26.86, 3.320 Å, I = 388; 2θ 33.73, 2.657 Å, I = 1000; 2θ 33.84, 2.649 Å, I = 315

Crystal structure
```
KFeSn3O8
1.0
7.438 -1.604 0.000
7.438 1.604 0.000
-7.359 0.000 7.521
K Fe Sn O
1 1 3 8
Direct
0.000 0.000 0.000
0.858 0.858 0.178
0.164 0.164 0.823
0.344 0.344 0.472
0.667 0.667 0.500
0.047 0.047 0.361
0.303 0.303 0.631
0.348 0.348 0.286
0.356 0.356 0.043
0.662 0.662 0.950
0.671 0.671 0.699
0.710 0.710 0.344
0.967 0.967 0.621
```

***

# K2FeTeO6
Simulated X-ray diffraction stick pattern, Cu Kα, 1.54184 Å. Input: a structure optimized by DFT (PBE+U).

Principal peaks in the range 2θ = 15–90°, sorted by position:
2θ 23.18, 3.837 Å, I = 269; 2θ 23.46, 3.792 Å, I = 290; 2θ 27.37, 3.259 Å, I = 1000; 2θ 28.95, 3.084 Å, I = 838; 2θ 40.28, 2.239 Å, I = 623; 2θ 41.40, 2.181 Å, I = 567

Crystal structure
```
K2FeTeO6
1.0
6.161 0.000 0.000
0.000 7.674 0.000
0.000 0.000 6.176
K Fe Te O
4 2 2 12
Direct
0.000 0.226 0.000
0.000 0.774 0.000
0.500 0.227 0.003
0.500 0.773 0.003
0.000 0.000 0.494
0.500 0.500 0.523
0.000 0.500 0.551
0.500 0.000 0.514
0.000 0.289 0.410
0.000 0.711 0.410
0.231 0.500 0.746
0.240 0.000 0.719
0.265 0.000 0.291
0.379 0.500 0.222
0.500 0.247 0.549
0.500 0.753 0.549
0.621 0.500 0.222
0.735 0.000 0.291
0.760 0.000 0.719
0.769 0.500 0.746
```

***

# KTi3FeO8
Simulated X-ray diffraction stick pattern, Cu Kα, 1.54184 Å. Input: a structure optimized by DFT (PBE+U).

Principal peaks in the range 2θ = 15–90°, sorted by position:
2θ 17.35, 5.111 Å, I = 912; 2θ 27.44, 3.251 Å, I = 869; 2θ 27.75, 3.215 Å, I = 889; 2θ 35.69, 2.516 Å, I = 853; 2θ 35.81, 2.508 Å, I = 735; 2θ 40.00, 2.254 Å, I = 1000

Crystal structure
```
KTi3FeO8
1.0
7.184 -1.503 0.000
7.184 1.503 0.000
-7.150 0.000 7.274
K Ti Fe O
1 3 1 8
Direct
0.000 0.000 0.000
0.159 0.159 0.827
0.340 0.340 0.484
0.669 0.669 0.516
0.853 0.853 0.186
0.047 0.047 0.380
0.299 0.299 0.643
0.335 0.335 0.297
0.345 0.345 0.041
0.651 0.651 0.945
0.668 0.668 0.707
0.708 0.708 0.363
0.962 0.962 0.626
```

***

# K4U3FeO12
Simulated X-ray diffraction stick pattern, Cu Kα, 1.54184 Å. Input: a structure optimized by DFT (PBE+U).

Principal peaks in the range 2θ = 15–90°, sorted by position:
2θ 20.97, 4.237 Å, I = 689; 2θ 29.82, 2.996 Å, I = 1000; 2θ 42.68, 2.118 Å, I = 321; 2θ 48.02, 1.895 Å, I = 329; 2θ 52.94, 1.730 Å, I = 410; 2θ 85.82, 1.132 Å, I = 225

Crystal structure
```
K4U3FeO12
1.0
-4.237 4.237 4.237
4.237 -4.237 4.237
4.237 4.237 -4.237
K U Fe O
4 3 1 12
Direct
0.000 0.000 0.500
0.000 0.500 0.000
0.500 0.000 0.000
0.500 0.500 0.500
0.000 0.500 0.500
0.500 0.000 0.500
0.500 0.500 0.000
0.000 0.000 0.000
0.000 0.255 0.255
0.000 0.745 0.745
0.250 0.500 0.750
0.250 0.750 0.500
0.255 0.000 0.255
0.255 0.255 0.000
0.500 0.250 0.750
0.500 0.750 0.250
0.745 0.000 0.745
0.745 0.745 0.000
0.750 0.250 0.500
0.750 0.500 0.250
```